[1]
The following is a computed X-ray diffraction stick pattern of Tm4Zn5Ge6. It was derived from a PBE-relaxed structure, using Cu Kα, 1.54184 Å.

```
data_Tm4Zn5Ge6
_cell_length_a 4.2287
_cell_length_b 18.4288
_cell_length_c 15.2061
_cell_angle_alpha 90.00
_cell_angle_beta 90.00
_cell_angle_gamma 90.00
_symmetry_space_group_name_H-M 'C m c 21'
_symmetry_Int_Tables_number 36
loop_
_symmetry_equiv_pos_as_xyz
'x,y,z'
'-x,-y,z+1/2'
'-x,y,z'
'x,-y,z+1/2'
'x+1/2,y+1/2,z'
'-x+1/2,-y+1/2,z+1/2'
'-x+1/2,y+1/2,z'
'x+1/2,-y+1/2,z+1/2'
loop_
_atom_site_label
_atom_site_type_symbol
_atom_site_fract_x
_atom_site_fract_y
_atom_site_fract_z
Tm1 Tm 0.0000 0.0186 0.0000
Tm2 Tm 0.0000 0.0325 0.2647
Tm3 Tm 0.0000 0.1669 0.8044
Tm4 Tm 0.0000 0.1748 0.4452
Zn1 Zn 0.0000 0.1509 0.1280
Zn2 Zn 0.0000 0.3010 0.1251
Zn3 Zn 0.0000 0.3446 0.7752
Zn4 Zn 0.0000 0.3491 0.4822
Zn5 Zn 0.0000 0.4344 0.1874
Ge1 Ge 0.0000 0.1116 0.6176
Ge2 Ge 0.0000 0.2238 0.9861
Ge3 Ge 0.0000 0.2288 0.2671
Ge4 Ge 0.0000 0.4306 0.9101
Ge5 Ge 0.0000 0.4341 0.6302
Ge6 Ge 0.0000 0.4397 0.3556
```

Main lines, in order of rising 2θ (10 to 80 degrees two-theta):
2θ = 27.9°, I 19.3
2θ = 32.0°, I 39.8
2θ = 32.2°, I 27.9
2θ = 32.8°, I 33.3
2θ = 34.9°, I 26.9
2θ = 35.4°, I 26.4
2θ = 36.9°, I 100.0
2θ = 40.2°, I 19.0
2θ = 42.8°, I 62.2
2θ = 52.9°, I 20.1

[2]
The following is a computed X-ray diffraction stick pattern of SbF5. It was derived from a PBE-relaxed structure, using Cu Kα, 1.54184 Å.

```
data_SbF5
_cell_length_a 3.6518
_cell_length_b 11.3371
_cell_length_c 8.5510
_cell_angle_alpha 90.00
_cell_angle_beta 90.00
_cell_angle_gamma 90.00
_symmetry_space_group_name_H-M 'C m c m'
_symmetry_Int_Tables_number 63
_symmetry_space_group_name_Hall '-C 2c 2'
loop_
_atom_site_label
_atom_site_type_symbol
_atom_site_fract_x
_atom_site_fract_y
_atom_site_fract_z
Sb1 Sb 0.0000 0.0000 0.0000
F1 F 0.0000 0.0163 0.2500
F2 F 0.0000 0.1579 0.5685
F3 F 0.0000 0.4284 0.5904
```

Main lines, in order of rising 2θ (10 to 80 degrees two-theta):
2θ = 15.6°, I 100.0
2θ = 20.8°, I 47.6
2θ = 25.6°, I 43.5
2θ = 26.1°, I 26.1
2θ = 33.2°, I 29.9
2θ = 34.1°, I 10.8
2θ = 47.2°, I 14.5
2θ = 50.1°, I 20.8
2θ = 52.1°, I 11.0
2θ = 55.4°, I 13.5

[3]
The following is a computed X-ray diffraction stick pattern of LuSnAu. It was derived from a PBE-relaxed structure, using Cu Kα, 1.54184 Å.

```
data_LuSnAu
_cell_length_a 4.6670
_cell_length_b 4.6670
_cell_length_c 7.3871
_cell_angle_alpha 90.00
_cell_angle_beta 90.00
_cell_angle_gamma 120.00
_symmetry_space_group_name_H-M 'P 63 m c'
_symmetry_Int_Tables_number 186
_symmetry_space_group_name_Hall 'P 6c -2c'
loop_
_atom_site_label
_atom_site_type_symbol
_atom_site_fract_x
_atom_site_fract_y
_atom_site_fract_z
Lu1 Lu 0.0000 0.0000 0.0000
Sn1 Sn 0.3333 0.6667 0.2293
Au1 Au 0.3333 0.6667 0.8382
```

Main lines, in order of rising 2θ (10 to 80 degrees two-theta):
2θ = 25.1°, I 30.0
2θ = 32.8°, I 100.0
2θ = 38.6°, I 97.0
2θ = 43.0°, I 34.0
2θ = 51.6°, I 28.5
2θ = 59.1°, I 13.5
2θ = 66.2°, I 27.2
2θ = 67.5°, I 12.1
2θ = 69.8°, I 17.5
2θ = 72.9°, I 14.9

[4]
The following is a computed X-ray diffraction stick pattern of EuPtO3. It was derived from a PBE-relaxed structure, using Cu Kα, 1.54184 Å.

```
data_EuPtO3
_cell_length_a 4.0667
_cell_length_b 4.0667
_cell_length_c 4.0667
_cell_angle_alpha 90.00
_cell_angle_beta 90.00
_cell_angle_gamma 90.00
_symmetry_space_group_name_H-M 'P m -3 m'
_symmetry_Int_Tables_number 221
_symmetry_space_group_name_Hall '-P 4 2 3'
loop_
_atom_site_label
_atom_site_type_symbol
_atom_site_fract_x
_atom_site_fract_y
_atom_site_fract_z
Eu1 Eu 0.0000 0.0000 0.0000
Pt1 Pt 0.5000 0.5000 0.5000
O1 O 0.0000 0.5000 0.5000
```

Main lines, in order of rising 2θ (10 to 80 degrees two-theta):
2θ = 21.9°, I 3.6
2θ = 31.1°, I 100.0
2θ = 44.6°, I 26.7
2θ = 50.2°, I 1.5
2θ = 55.3°, I 40.6
2θ = 64.8°, I 16.9
2θ = 69.3°, I 0.7
2θ = 73.7°, I 17.8

[5]
The following is a computed X-ray diffraction stick pattern of LaMg14Fe. It was derived from a PBE-relaxed structure, using Cu Kα, 1.54184 Å.

```
data_LaMg14Fe
_cell_length_a 6.5443
_cell_length_b 6.5443
_cell_length_c 10.3234
_cell_angle_alpha 90.00
_cell_angle_beta 90.00
_cell_angle_gamma 120.00
_symmetry_space_group_name_H-M 'P -6 m 2'
_symmetry_Int_Tables_number 187
_symmetry_space_group_name_Hall 'P -6 2'
loop_
_atom_site_label
_atom_site_type_symbol
_atom_site_fract_x
_atom_site_fract_y
_atom_site_fract_z
La1 La 0.0000 0.0000 0.0000
Mg1 Mg 0.0180 0.5090 0.0000
Mg2 Mg 0.1585 0.3169 0.2795
Mg3 Mg 0.5081 0.0161 0.5000
Mg4 Mg 0.6667 0.3333 0.2366
Fe1 Fe 0.0000 0.0000 0.5000
```

Main lines, in order of rising 2θ (10 to 80 degrees two-theta):
2θ = 15.6°, I 41.1
2θ = 23.3°, I 25.8
2θ = 31.6°, I 29.6
2θ = 34.8°, I 21.6
2θ = 36.2°, I 100.0
2θ = 47.7°, I 18.0
2θ = 56.2°, I 17.6
2θ = 63.2°, I 14.1
2θ = 67.8°, I 16.5
2θ = 68.7°, I 13.7

[6]
The following is a computed X-ray diffraction stick pattern of Er3Al2Ni6. It was derived from a PBE-relaxed structure, using Cu Kα, 1.54184 Å.

```
data_Er3Al2Ni6
_cell_length_a 8.8574
_cell_length_b 8.8574
_cell_length_c 8.8574
_cell_angle_alpha 90.00
_cell_angle_beta 90.00
_cell_angle_gamma 90.00
_symmetry_space_group_name_H-M 'I m -3 m'
_symmetry_Int_Tables_number 229
_symmetry_space_group_name_Hall '-I 4 2 3'
loop_
_atom_site_label
_atom_site_type_symbol
_atom_site_fract_x
_atom_site_fract_y
_atom_site_fract_z
Er1 Er 0.0000 0.0000 0.2925
Al1 Al 0.2500 0.2500 0.2500
Ni1 Ni 0.0000 0.3353 0.3353
```

Main lines, in order of rising 2θ (10 to 80 degrees two-theta):
2θ = 24.6°, I 23.5
2θ = 32.0°, I 40.4
2θ = 35.1°, I 28.4
2θ = 38.0°, I 24.2
2θ = 40.7°, I 19.0
2θ = 43.3°, I 100.0
2θ = 56.9°, I 19.1
2θ = 64.9°, I 16.8
2θ = 70.5°, I 13.0
2θ = 79.5°, I 27.7